Tl8InPb3: theoretical PXRD pattern (Cu Kα (weighted mean of Kα1 and Kα2)), based on the PBE geometry in Alexandria.
Peak positions follow from Bragg's law for the DFT cell and can differ from measured ones.

The 10 most intense peaks (2θ from 5° to 70°), by angle:
| two_theta | I (rel.) |
| --- | --- |
| 12.85 | 52 |
| 24.18 | 47 |
| 24.58 | 63 |
| 29.45 | 70 |
| 30.07 | 98 |
| 32.64 | 56 |
| 36.04 | 100 |
| 36.78 | 87 |
| 38.41 | 42 |
| 42.59 | 38 |

Structural model:
a = 8.494 Å, b = 8.494 Å, c = 8.494 Å
α = 120.32°, β = 118.33°, γ = 91.17°
Element x y z (fractional)
Tl 0.112 0.120 0.725
Tl 0.300 0.794 0.105
Tl 0.311 0.206 0.506
Tl 0.395 0.387 0.275
Tl 0.605 0.880 0.992
Tl 0.689 0.195 0.895
Tl 0.700 0.805 0.494
Tl 0.888 0.613 0.008
In 0.500 0.500 0.000
Pb 0.000 0.000 0.000
Pb 0.288 0.788 0.500
Pb 0.712 0.212 0.500

Tl16InPb12: theoretical PXRD pattern (Cu Kα (weighted mean of Kα1 and Kα2)), based on the PBE geometry in Alexandria.
Peak positions follow from Bragg's law for the DFT cell and can differ from measured ones.

The 10 most intense peaks (2θ from 5° to 70°), by angle:
| two_theta | I (rel.) |
| --- | --- |
| 29.09 | 23 |
| 30.73 | 57 |
| 30.87 | 67 |
| 31.02 | 100 |
| 33.97 | 27 |
| 34.07 | 14 |
| 34.61 | 19 |
| 37.33 | 18 |
| 54.97 | 18 |
| 55.19 | 13 |

Structural model:
a = 10.714 Å, b = 10.714 Å, c = 10.521 Å
α = 109.28°, β = 109.28°, γ = 110.16°
Element x y z (fractional)
Tl 0.000 0.000 0.000
Tl 0.001 0.001 0.647
Tl 0.001 0.410 0.691
Tl 0.001 0.687 0.406
Tl 0.282 0.595 0.597
Tl 0.314 0.720 0.313
Tl 0.351 0.351 0.352
Tl 0.406 0.687 0.000
Tl 0.410 0.001 0.691
Tl 0.594 0.594 0.280
Tl 0.595 0.282 0.597
Tl 0.653 0.998 0.003
Tl 0.687 0.001 0.406
Tl 0.687 0.406 0.000
Tl 0.720 0.314 0.313
Tl 0.998 0.653 0.003
In 0.312 0.312 0.720
Pb 0.002 0.376 0.194
Pb 0.005 0.194 0.383
Pb 0.183 0.810 0.810
Pb 0.191 0.373 0.998
Pb 0.194 0.005 0.383
Pb 0.373 0.191 0.998
Pb 0.376 0.002 0.194
Pb 0.617 0.617 0.814
Pb 0.626 0.815 0.627
Pb 0.810 0.183 0.810
Pb 0.812 0.812 0.188
Pb 0.815 0.626 0.627